[1]
Structure and theoretical powder XRD pattern of Er2InSn2 (a PBE-relaxed structure; Cu Ka).

Crystal structure
```
data_Er2InSn2
_cell_length_a 7.8150
_cell_length_b 7.8150
_cell_length_c 8.7276
_cell_angle_alpha 90.00
_cell_angle_beta 90.00
_cell_angle_gamma 90.00
_space_group_name_H-M_alt 'P 4/m n c'
_space_group_IT_number 128
_space_group_name_Hall '-P 4 2n'
loop_
_atom_site_label
_atom_site_fract_x
_atom_site_fract_y
_atom_site_fract_z
_atom_site_occupancy
Er1 0.1732 0.3273 0.0000 1
In1 0.0000 0.0000 0.2495 1
Sn1 0.1313 0.6313 0.2500 1
```

Top 8 peaks for 15 to 90 degrees two-theta, by intensity:
2θ 32.83, rel. 1000
2θ 36.35, rel. 346
2θ 30.71, rel. 276
2θ 56.24, rel. 197
2θ 41.38, rel. 181
2θ 52.65, rel. 138
2θ 68.09, rel. 119
2θ 70.07, rel. 116

***

[2]
Structure and theoretical powder XRD pattern of Er3In4Sn2 (a PBE-relaxed structure; Cu Ka).

Crystal structure
```
data_Er3In4Sn2
_cell_length_a 7.9144
_cell_length_b 7.9144
_cell_length_c 4.3081
_cell_angle_alpha 90.00
_cell_angle_beta 90.00
_cell_angle_gamma 120.00
_space_group_name_H-M_alt 'P -6 2 m'
_space_group_IT_number 189
_space_group_name_Hall 'P -6 -2'
loop_
_atom_site_label
_atom_site_fract_x
_atom_site_fract_y
_atom_site_fract_z
_atom_site_occupancy
Er1 0.0000 0.6094 0.0000 1
In1 0.0000 0.0000 0.0000 1
In2 0.0000 0.2644 0.5000 1
Sn1 0.3333 0.6667 0.5000 1
```

Top 8 peaks for 15 to 90 degrees two-theta, by intensity:
2θ 30.68, rel. 1000
2θ 33.41, rel. 618
2θ 39.44, rel. 432
2θ 34.63, rel. 303
2θ 58.93, rel. 266
2θ 62.92, rel. 264
2θ 41.94, rel. 237
2θ 40.64, rel. 213

***

[3]
Structure and theoretical powder XRD pattern of SrErInSn (a PBE-relaxed structure; Cu Ka).

Crystal structure
```
data_SrErInSn
_cell_length_a 7.7752
_cell_length_b 7.7752
_cell_length_c 7.7752
_cell_angle_alpha 90.00
_cell_angle_beta 90.00
_cell_angle_gamma 90.00
_space_group_name_H-M_alt 'F -4 3 m'
_space_group_IT_number 216
_space_group_name_Hall 'F -4 2 3'
loop_
_atom_site_label
_atom_site_fract_x
_atom_site_fract_y
_atom_site_fract_z
_atom_site_occupancy
Sr1 0.0000 0.0000 0.0000 1
Er1 0.0000 0.0000 0.5000 1
In1 0.2500 0.2500 0.2500 1
Sn1 0.2500 0.2500 0.7500 1
```

Top 8 peaks for 15 to 90 degrees two-theta, by intensity:
2θ 32.57, rel. 1000
2θ 58.12, rel. 382
2θ 46.73, rel. 183
2θ 77.67, rel. 166
2θ 68.23, rel. 118
2θ 19.78, rel. 55
2θ 86.78, rel. 43
2θ 38.40, rel. 32

***

[4]
Structure and theoretical powder XRD pattern of TbErIn2 (a PBE-relaxed structure; Cu Ka).

Crystal structure
```
data_TbErIn2
_cell_length_a 6.9296
_cell_length_b 8.6473
_cell_length_c 3.5066
_cell_angle_alpha 90.00
_cell_angle_beta 90.00
_cell_angle_gamma 90.00
_space_group_name_H-M_alt 'C m m m'
_space_group_IT_number 65
_space_group_name_Hall '-C 2 2'
loop_
_atom_site_label
_atom_site_fract_x
_atom_site_fract_y
_atom_site_fract_z
_atom_site_occupancy
Tb1 0.0000 0.0000 0.0000 1
Er1 0.0000 0.5000 0.0000 1
In1 0.2500 0.2500 0.5000 1
```

Top 8 peaks for 15 to 90 degrees two-theta, by intensity:
2θ 32.89, rel. 1000
2θ 33.13, rel. 980
2θ 36.46, rel. 757
2θ 56.63, rel. 425
2θ 63.21, rel. 299
2θ 63.66, rel. 293
2θ 41.78, rel. 258
2θ 52.17, rel. 134